Record 1
For LiFe2OF5, DFT lattice parameters and positions (GGA+U) gives the simulated powder XRD pattern in this record (Cu Kα, 1.54184 Å).
Intensities are scaled so that the largest is 100.

The 10 most intense peaks (10 to 80 degrees two-theta), in order of rising 2θ:
two_theta, intensity
10.3, 16
19.1, 38
24.1, 100
36.6, 8
38.9, 26
45.0, 42
51.4, 11
51.9, 11
54.5, 16
60.9, 23

Atomic structure:
abc: 5.662 17.207 5.432
angles: 90.00 121.41 90.00
Space group C2 (No. 5)
Inequivalent atoms, fractional coordinates:
Li1 0.000 0.000 0.000
Li2 0.000 0.233 0.500
Fe1 0.000 0.066 0.500
Fe2 0.000 0.400 0.500
Fe3 0.000 0.740 0.500
Fe4 0.000 0.819 0.000
O1 0.227 0.816 0.430
F1 0.198 0.067 0.899
F2 0.221 0.741 0.935
F3 0.231 0.404 0.936
F4 0.242 0.984 0.469
F5 0.243 0.158 0.497


Record 2
For Li4TiMn3P4O16, DFT lattice parameters and positions (GGA+U) gives the simulated powder XRD pattern in this record (Cu Kα, 1.54184 Å).
Intensities are scaled so that the largest is 100.

The 10 most intense peaks (10 to 80 degrees two-theta), in order of rising 2θ:
two_theta, intensity
16.7, 27
20.4, 70
22.1, 28
25.1, 100
29.0, 93
31.5, 29
34.8, 61
34.8, 61
35.7, 38
51.4, 56

Atomic structure:
abc: 4.779 6.158 10.595
angles: 90.00 90.13 90.00
Space group Pm (No. 6)
Inequivalent atoms, fractional coordinates:
Li1 0.000 0.249 0.000
Li2 0.501 0.250 0.500
Ti1 0.475 0.000 0.220
Mn1 0.028 0.000 0.719
Mn2 0.529 0.500 0.781
Mn3 0.974 0.500 0.281
P1 0.091 0.500 0.592
P2 0.412 0.500 0.091
P3 0.591 0.000 0.907
P4 0.911 0.000 0.408
O1 0.212 0.500 0.455
O2 0.225 0.299 0.661
O3 0.232 0.000 0.406
O4 0.269 0.000 0.904
O5 0.280 0.299 0.161
O6 0.288 0.500 0.955
O7 0.713 0.000 0.044
O8 0.725 0.201 0.838
O9 0.734 0.500 0.096
O10 0.770 0.500 0.596
O11 0.773 0.200 0.338
O12 0.789 0.000 0.544


Record 3
For Li2Co2C2O7, DFT lattice parameters and positions (GGA+U) gives the simulated powder XRD pattern in this record (Cu Kα, 1.54184 Å).
Intensities are scaled so that the largest is 100.

The 10 most intense peaks (10 to 80 degrees two-theta), in order of rising 2θ:
two_theta, intensity
26.0, 83
27.5, 87
30.0, 76
30.6, 100
31.1, 76
33.6, 74
35.1, 73
35.8, 55
41.6, 52
49.3, 40

Atomic structure:
abc: 10.609 6.247 8.915
angles: 90.00 112.93 90.00
Space group P2_1/c (No. 14)
Inequivalent atoms, fractional coordinates:
Li1 0.027 0.204 0.291
Li2 0.125 0.594 0.565
Co1 0.354 0.048 0.949
Co2 0.488 0.103 0.667
C1 0.173 0.207 0.631
C2 0.255 0.629 0.909
O1 0.056 0.222 0.025
O2 0.138 0.587 0.792
O3 0.173 0.102 0.757
O4 0.265 0.720 0.512
O5 0.284 0.249 0.611
O6 0.364 0.518 0.924
O7 0.475 0.574 0.344


Record 4
For Li5Fe8B8O24, DFT lattice parameters and positions (GGA+U) gives the simulated powder XRD pattern in this record (Cu Kα, 1.54184 Å).
Intensities are scaled so that the largest is 100.

The 10 most intense peaks (10 to 80 degrees two-theta), in order of rising 2θ:
two_theta, intensity
19.6, 31
19.7, 55
21.6, 100
26.0, 27
26.1, 29
34.2, 26
34.4, 27
34.4, 31
35.1, 88
40.7, 24

Atomic structure:
abc: 5.220 9.053 11.401
angles: 67.15 77.70 89.62
Space group P1 (No. 1)
Inequivalent atoms, fractional coordinates:
Li1 0.000 0.000 0.000
Li2 0.032 0.035 0.263
Li3 0.254 0.251 0.494
Li4 0.760 0.738 0.512
Li5 0.805 0.768 0.767
Fe1 0.025 0.344 0.989
Fe2 0.051 0.699 0.237
Fe3 0.260 0.920 0.489
Fe4 0.324 0.611 0.737
Fe5 0.516 0.820 0.991
Fe6 0.557 0.219 0.234
Fe7 0.747 0.423 0.482
Fe8 0.791 0.125 0.736
B1 0.020 0.669 0.983
B2 0.058 0.378 0.241
B3 0.262 0.588 0.481
B4 0.292 0.954 0.735
B5 0.521 0.166 0.985
B6 0.549 0.882 0.234
B7 0.757 0.085 0.489
B8 0.826 0.462 0.734
O1 0.025 0.624 0.435
O2 0.033 0.431 0.797
O3 0.114 0.772 0.035
O4 0.146 0.078 0.744
O5 0.181 0.554 0.959
O6 0.191 0.838 0.701
O7 0.253 0.169 0.993
O8 0.295 0.364 0.269
O9 0.370 0.449 0.491
O10 0.375 0.695 0.520
O11 0.406 0.990 0.275
O12 0.421 0.780 0.195
O13 0.513 0.113 0.462
O14 0.544 0.942 0.763
O15 0.655 0.259 0.029
O16 0.666 0.062 0.936
O17 0.715 0.607 0.707
O18 0.737 0.351 0.692
O19 0.782 0.686 0.953
O20 0.821 0.878 0.226
O21 0.871 0.186 0.536
O22 0.893 0.490 0.269
O23 0.894 0.963 0.466
O24 0.954 0.275 0.191


Record 5
For CoBiPO5, DFT lattice parameters and positions (GGA+U) gives the simulated powder XRD pattern in this record (Cu Kα, 1.54184 Å).
Intensities are scaled so that the largest is 100.

The 10 most intense peaks (10 to 80 degrees two-theta), in order of rising 2θ:
two_theta, intensity
15.5, 28
18.2, 43
20.0, 47
23.5, 41
25.9, 67
30.5, 100
34.3, 43
34.8, 48
42.4, 29
53.7, 31

Atomic structure:
abc: 5.304 11.419 7.646
angles: 90.00 113.35 90.00
Space group P2_1/c (No. 14)
Inequivalent atoms, fractional coordinates:
Co1 0.057 0.082 0.183
Bi1 0.428 0.100 0.811
P1 0.315 0.651 0.027
O1 0.187 0.724 0.491
O2 0.215 0.581 0.161
O3 0.241 0.583 0.838
O4 0.257 0.022 0.014
O5 0.368 0.174 0.379